Record 1
# Y2Tl3GeSe6
Computed powder X-ray diffraction pattern, λ = 1.5418 Å (Cu Kα). Input: DFT lattice parameters and positions (GGA-PBE).
Intensities are scaled so that the largest is 100.

Cell and atoms:
a b c (Å): 9.913 9.913 8.985
angles (deg): 108.61 108.61 24.05
Fractional coordinates of all 12 atoms:
1 Y 0.165 0.165 0.334
2 Y 0.835 0.835 0.666
3 Tl 0.168 0.168 0.841
4 Tl 0.500 0.500 0.500
5 Tl 0.832 0.832 0.159
6 Ge 0.500 0.500 0.000
7 Se 0.007 0.007 0.219
8 Se 0.323 0.323 0.436
9 Se 0.348 0.348 0.894
10 Se 0.652 0.652 0.106
11 Se 0.677 0.677 0.564
12 Se 0.993 0.993 0.781

Top 10 peaks for 2θ from 15° to 90°, low angle first:
two_theta, I_rel
25.1, 12
29.2, 50
29.4, 100
31.8, 15
40.4, 18
40.5, 36
43.4, 36
43.8, 18
53.6, 18
66.7, 12

Record 2
# Tb3Y2Er6
Computed powder X-ray diffraction pattern, λ = 1.5418 Å (Cu Kα). Input: DFT lattice parameters and positions (GGA-PBE).
Intensities are scaled so that the largest is 100.

Cell and atoms:
a b c (Å): 16.930 16.930 16.930
angles (deg): 164.07 164.07 22.60
Fractional coordinates of all 11 atoms:
1 Tb 0.000 0.000 0.000
2 Tb 0.201 0.201 0.000
3 Tb 0.799 0.799 0.000
4 Y 0.454 0.454 0.000
5 Y 0.546 0.546 0.000
6 Er 0.122 0.622 0.500
7 Er 0.304 0.304 0.000
8 Er 0.378 0.878 0.500
9 Er 0.622 0.122 0.500
10 Er 0.696 0.696 0.000
11 Er 0.878 0.378 0.500

Top 10 peaks for 2θ from 15° to 90°, low angle first:
two_theta, I_rel
29.0, 100
32.4, 21
34.6, 75
38.4, 67
51.0, 23
55.4, 20
62.6, 31
63.7, 21
67.0, 22
88.4, 22

Record 3
# Rb4AlCl7
Computed powder X-ray diffraction pattern, λ = 1.5418 Å (Cu Kα). Input: DFT lattice parameters and positions (GGA-PBE).
Intensities are scaled so that the largest is 100.

Cell and atoms:
a b c (Å): 8.006 8.006 9.904
angles (deg): 110.79 110.79 49.52
Fractional coordinates of all 12 atoms:
1 Rb 0.098 0.098 0.287
2 Rb 0.344 0.361 0.014
3 Rb 0.639 0.656 0.986
4 Rb 0.902 0.902 0.713
5 Al 0.490 0.510 0.500
6 Cl 0.118 0.137 0.983
7 Cl 0.195 0.536 0.359
8 Cl 0.428 0.442 0.697
9 Cl 0.464 0.805 0.641
10 Cl 0.558 0.572 0.303
11 Cl 0.815 0.185 0.500
12 Cl 0.863 0.882 0.017

Top 10 peaks for 2θ from 15° to 90°, low angle first:
two_theta, I_rel
19.3, 42
22.3, 23
22.7, 41
26.6, 100
29.4, 33
31.1, 45
31.9, 25
32.8, 33
33.0, 26
40.0, 23